Record 1
Starting from a crystal structure in the Materials Project, relaxed with GGA-PBE, the XRD peak list of ZnTe was computed for Cu Kα.

Crystal structure
```
data_ZnTe
_chemical_formula_sum 'Zn3 Te3'
_cell_length_a 4.3726
_cell_length_b 4.3726
_cell_length_c 10.7050
_cell_angle_alpha 90.00
_cell_angle_beta 90.00
_cell_angle_gamma 120.00
_symmetry_space_group_name_H-M 'P 31'
_symmetry_Int_Tables_number 144
loop_
_symmetry_equiv_pos_as_xyz
'x,y,z'
'-y,x-y,z+1/3'
'-x+y,-x,z+2/3'
loop_
_atom_site_label
_atom_site_type_symbol
_atom_site_fract_x
_atom_site_fract_y
_atom_site_fract_z
Zn1 Zn 0.0273 0.3546 0.0000
Te1 Te 0.3137 0.0041 0.4170
```

The 8 most intense peaks (10 to 90 degrees two-theta), sorted by position:
2θ = 24.9°, intensity 100, (0 0 3)
2θ = 28.9°, intensity 7, (0 1 2)
2θ = 41.3°, intensity 71, (1 0 4)
2θ = 48.9°, intensity 46, (0 1 5)
2θ = 59.8°, intensity 11, (0 2 4)
2θ = 65.8°, intensity 18, (1 0 7)
2θ = 75.3°, intensity 22, (0 1 8)
2θ = 80.8°, intensity 13, (0 0 9)


Record 2
Starting from a crystal structure in the Materials Project, relaxed with GGA-PBE, the XRD peak list of Gd2S3O20 was computed for Cu Kα.

Crystal structure
```
data_Gd2S3O20
_chemical_formula_sum 'Gd8 S12 O80'
_cell_length_a 18.4824
_cell_length_b 6.1109
_cell_length_c 18.3066
_cell_angle_alpha 90.00
_cell_angle_beta 111.35
_cell_angle_gamma 90.00
_symmetry_space_group_name_H-M 'C 1 2/c 1'
_symmetry_Int_Tables_number 15
loop_
_symmetry_equiv_pos_as_xyz
'x,y,z'
'-x,-y,-z'
'-x,y,-z+1/2'
'x,-y,z+1/2'
'x+1/2,y+1/2,z'
'-x+1/2,-y+1/2,-z'
'-x+1/2,y+1/2,-z+1/2'
'x+1/2,-y+1/2,z+1/2'
loop_
_atom_site_label
_atom_site_type_symbol
_atom_site_fract_x
_atom_site_fract_y
_atom_site_fract_z
Gd1 Gd 0.1568 0.9999 0.3853
S1 S 0.0000 0.2963 0.2500
S2 S 0.2290 0.0029 0.0966
O1 O 0.0082 0.4222 0.1862
O2 O 0.0098 0.1005 0.0736
O3 O 0.0152 0.0618 0.9026
O4 O 0.0687 0.1363 0.2832
O5 O 0.1313 0.5000 0.0988
O6 O 0.1777 0.0475 0.0127
O7 O 0.1791 0.4988 0.6664
O8 O 0.1864 0.0141 0.6478
O9 O 0.2113 0.3165 0.8788
O10 O 0.2274 0.2957 0.4056
```

The 8 most intense peaks (10 to 90 degrees two-theta), sorted by position:
2θ = 10.3°, intensity 36, (2 0 0)
2θ = 11.7°, intensity 100, (2 0 -2)
2θ = 15.4°, intensity 45, (1 1 0)
2θ = 19.6°, intensity 54, (1 1 2)
2θ = 20.8°, intensity 50, (0 0 4)
2θ = 21.2°, intensity 43, (3 1 0)
2θ = 28.2°, intensity 61, (5 1 -2)
2θ = 29.2°, intensity 32, (0 2 0)


Record 3
Starting from a crystal structure in the Materials Project, relaxed with GGA-PBE, the XRD peak list of ErScSi was computed for Cu Kα.

Crystal structure
```
data_ErScSi
_chemical_formula_sum 'Er6 Sc6 Si6'
_cell_length_a 8.5809
_cell_length_b 6.1245
_cell_length_c 8.5829
_cell_angle_alpha 90.00
_cell_angle_beta 116.09
_cell_angle_gamma 90.00
_symmetry_space_group_name_H-M 'P 1 m 1'
_symmetry_Int_Tables_number 6
loop_
_symmetry_equiv_pos_as_xyz
'x,y,z'
'x,-y,z'
loop_
_atom_site_label
_atom_site_type_symbol
_atom_site_fract_x
_atom_site_fract_y
_atom_site_fract_z
Er1 Er 0.0000 0.0000 0.0000
Er2 Er 0.0250 0.5000 0.5455
Er3 Er 0.2470 0.0000 0.5014
Er4 Er 0.2908 0.5000 0.2787
Er5 Er 0.6949 0.5000 0.9486
Er6 Er 0.7456 0.0000 0.2542
Sc1 Sc 0.0050 0.5000 0.8903
Sc2 Sc 0.3419 0.2479 0.9061
Sc3 Sc 0.6362 0.5000 0.2588
Sc4 Sc 0.6521 0.2476 0.5962
Si1 Si 0.0112 0.0000 0.6708
Si2 Si 0.3839 0.5000 0.6380
Si3 Si 0.4164 0.0000 0.2653
Si4 Si 0.5925 0.0000 0.8466
Si5 Si 0.9763 0.3036 0.2308
```

The 8 most intense peaks (10 to 90 degrees two-theta), sorted by position:
2θ = 24.4°, intensity 67, (1 1 1)
2θ = 25.4°, intensity 100, (2 1 -1)
2θ = 29.2°, intensity 53, (0 2 0)
2θ = 33.6°, intensity 41, (2 1 1)
2θ = 34.8°, intensity 54, (3 1 -1)
2θ = 34.9°, intensity 61, (0 0 3)
2θ = 35.5°, intensity 67, (3 1 -2)
2θ = 36.1°, intensity 59, (1 2 -2)


Record 4
Starting from a crystal structure in the Materials Project, relaxed with GGA-PBE, the XRD peak list of Ta4Ni2N was computed for Cu Kα.

Crystal structure
Lattice parameters (Å, degrees): 11.6174 11.6174 11.6174 90.00 90.00 90.00
Space group Fd-3m (No. 227, origin choice 2)
One atom of each set of equivalent atoms:
1 Ta 0.0000 0.0000 0.0000 [16 per cell]
2 Ta 0.0592 0.3750 0.8750 [48 per cell]
3 Ni 0.0441 0.0441 0.2059 [32 per cell]
4 N 0.0000 0.0000 0.5000 [16 per cell]

The 8 most intense peaks (10 to 90 degrees two-theta), sorted by position:
2θ = 33.6°, intensity 47, (3 3 1)
2θ = 37.9°, intensity 49, (4 2 2)
2θ = 40.3°, intensity 100, (3 3 3)
2θ = 44.1°, intensity 29, (4 4 0)
2θ = 65.8°, intensity 14, (7 3 3)
2θ = 68.5°, intensity 43, (6 6 0)
2θ = 70.2°, intensity 15, (5 5 5)
2θ = 82.6°, intensity 20, (9 3 3)


Record 5
Starting from a crystal structure in the Materials Project, relaxed with GGA-PBE, the XRD peak list of MgCuF4 was computed for Cu Kα.

Crystal structure
```
data_MgCuF4
_chemical_formula_sum 'Mg4 Cu4 F16'
_cell_length_a 5.0995
_cell_length_b 5.0995
_cell_length_c 10.0520
_cell_angle_alpha 90.00
_cell_angle_beta 90.00
_cell_angle_gamma 90.00
_symmetry_space_group_name_H-M 'I 4/m c m'
_symmetry_Int_Tables_number 140
_symmetry_space_group_name_Hall '-I 4 2c'
loop_
_atom_site_label
_atom_site_type_symbol
_atom_site_fract_x
_atom_site_fract_y
_atom_site_fract_z
Mg1 Mg 0.0000 0.0000 0.2500
Cu1 Cu 0.0000 0.5000 0.0000
F1 F 0.1881 0.3119 0.1365
```

The 8 most intense peaks (10 to 90 degrees two-theta), sorted by position:
2θ = 24.7°, intensity 30, (1 1 0)
2θ = 30.5°, intensity 100, (1 1 2)
2θ = 39.6°, intensity 15, (2 0 2)
2θ = 40.6°, intensity 11, (2 1 1)
2θ = 50.6°, intensity 23, (2 2 0)
2θ = 51.0°, intensity 53, (2 0 4)
2θ = 60.3°, intensity 29, (3 1 2)
2θ = 61.0°, intensity 14, (1 1 6)


Record 6
Starting from a crystal structure in the Materials Project, relaxed with GGA-PBE, the XRD peak list of CsI2Br was computed for Cu Kα.

Crystal structure
```
data_CsI2Br
_chemical_formula_sum 'Cs4 I8 Br4'
_cell_length_a 11.0455
_cell_length_b 6.9721
_cell_length_c 10.0878
_cell_angle_alpha 90.00
_cell_angle_beta 90.00
_cell_angle_gamma 90.00
_symmetry_space_group_name_H-M 'P n m a'
_symmetry_Int_Tables_number 62
loop_
_symmetry_equiv_pos_as_xyz
'x,y,z'
'-x,-y,-z'
'-x+1/2,-y,z+1/2'
'x+1/2,y,-z+1/2'
'x+1/2,-y+1/2,-z+1/2'
'-x+1/2,y+1/2,z+1/2'
'-x,y+1/2,-z'
'x,-y+1/2,z'
loop_
_atom_site_label
_atom_site_type_symbol
_atom_site_fract_x
_atom_site_fract_y
_atom_site_fract_z
Cs1 Cs 0.1672 0.2500 0.0495
I1 I 0.0693 0.7500 0.2689
I2 I 0.1323 0.2500 0.5525
Br1 Br 0.1674 0.7500 0.8732
```

The 8 most intense peaks (10 to 90 degrees two-theta), sorted by position:
2θ = 22.3°, intensity 32, (2 1 1)
2θ = 23.2°, intensity 45, (1 1 2)
2θ = 23.9°, intensity 17, (2 0 2)
2θ = 25.6°, intensity 77, (0 2 0)
2θ = 27.1°, intensity 100, (2 1 2)
2θ = 32.7°, intensity 34, (3 1 2)
2θ = 36.6°, intensity 18, (1 0 4)
2θ = 46.0°, intensity 23, (2 3 2)


Record 7
Starting from a crystal structure in the Materials Project, relaxed with GGA-PBE, the XRD peak list of Co27Se32 was computed for Cu Kα.

Crystal structure
```
data_Co27Se32
_chemical_formula_sum 'Co27 Se32'
_cell_length_a 10.3399
_cell_length_b 10.7342
_cell_length_c 10.7705
_cell_angle_alpha 83.50
_cell_angle_beta 61.39
_cell_angle_gamma 61.90
_symmetry_space_group_name_H-M 'P -1'
_symmetry_Int_Tables_number 2
loop_
_symmetry_equiv_pos_as_xyz
'x,y,z'
'-x,-y,-z'
loop_
_atom_site_label
_atom_site_type_symbol
_atom_site_fract_x
_atom_site_fract_y
_atom_site_fract_z
Co1 Co 0.0000 0.0000 0.0000
Co2 Co 0.0000 0.5000 0.5000
Co3 Co 0.0007 0.2494 0.7497
Co4 Co 0.0207 0.1175 0.3701
Co5 Co 0.0247 0.6135 0.8665
Co6 Co 0.2474 0.2698 0.7392
Co7 Co 0.2466 0.7677 0.2393
Co8 Co 0.2501 0.3750 0.1244
Co9 Co 0.2500 0.9854 0.0150
Co10 Co 0.2543 0.8682 0.6231
Co11 Co 0.2554 0.4900 0.5131
Co12 Co 0.4778 0.6344 0.8823
Co13 Co 0.4803 0.1323 0.3796
Co14 Co 0.4992 0.7458 0.2545
Co15 Co 0.5000 0.0000 0.0000
Se1 Se 0.0354 0.3377 0.3308
Se2 Se 0.0355 0.8364 0.8300
Se3 Se 0.0381 0.5804 0.0858
Se4 Se 0.0400 0.0784 0.5865
Se5 Se 0.1990 0.7909 0.0408
Se6 Se 0.2011 0.2927 0.5403
Se7 Se 0.2124 0.0393 0.7903
Se8 Se 0.2116 0.5409 0.2905
Se9 Se 0.2785 0.7116 0.4589
Se10 Se 0.2892 0.2091 0.9578
Se11 Se 0.3007 0.9596 0.2101
Se12 Se 0.3019 0.4618 0.7060
Se13 Se 0.4640 0.1691 0.1626
Se14 Se 0.4650 0.4130 0.9186
Se15 Se 0.4662 0.9106 0.4200
Se16 Se 0.4668 0.6686 0.6633
```

The 8 most intense peaks (10 to 90 degrees two-theta), sorted by position:
2θ = 33.6°, intensity 99, (-2 1 1)
2θ = 33.7°, intensity 97, (2 0 4)
2θ = 33.9°, intensity 95, (2 4 0)
2θ = 45.5°, intensity 37, (4 0 0)
2θ = 45.7°, intensity 68, (4 1 5)
2θ = 46.0°, intensity 68, (4 5 1)
2θ = 51.1°, intensity 100, (0 5 1)
2θ = 51.2°, intensity 52, (0 1 5)


Record 8
Starting from a crystal structure in the Materials Project, relaxed with GGA-PBE, the XRD peak list of BaMg14ZnO16 was computed for Cu Kα.

Crystal structure
```
data_BaMg14ZnO16
_chemical_formula_sum 'Ba1 Mg14 Zn1 O16'
_cell_length_a 4.5224
_cell_length_b 8.6680
_cell_length_c 8.7879
_cell_angle_alpha 90.00
_cell_angle_beta 90.00
_cell_angle_gamma 90.00
_symmetry_space_group_name_H-M 'P m m m'
_symmetry_Int_Tables_number 47
loop_
_symmetry_equiv_pos_as_xyz
'x,y,z'
'-x,-y,-z'
'-x,-y,z'
'x,y,-z'
'x,-y,-z'
'-x,y,z'
'-x,y,-z'
'x,-y,z'
loop_
_atom_site_label
_atom_site_type_symbol
_atom_site_fract_x
_atom_site_fract_y
_atom_site_fract_z
Ba1 Ba 0.0000 0.0000 0.0000
Mg1 Mg 0.0000 0.0000 0.5000
Mg2 Mg 0.0000 0.2590 0.2607
Mg3 Mg 0.0000 0.5000 0.5000
Mg4 Mg 0.5000 0.0000 0.2646
Mg5 Mg 0.5000 0.2529 0.5000
Mg6 Mg 0.5000 0.2647 0.0000
Mg7 Mg 0.5000 0.5000 0.2519
Zn1 Zn 0.0000 0.5000 0.0000
O1 O 0.0000 0.0000 0.2807
O2 O 0.0000 0.2548 0.5000
O3 O 0.0000 0.2812 0.0000
O4 O 0.0000 0.5000 0.2646
O5 O 0.5000 0.0000 0.0000
O6 O 0.5000 0.0000 0.5000
O7 O 0.5000 0.2501 0.2495
O8 O 0.5000 0.5000 0.0000
O9 O 0.5000 0.5000 0.5000
```

The 8 most intense peaks (10 to 90 degrees two-theta), sorted by position:
2θ = 10.1°, intensity 63, (0 0 1)
2θ = 35.2°, intensity 76, (1 2 2)
2θ = 39.9°, intensity 100, (2 0 0)
2θ = 41.1°, intensity 87, (0 0 4)
2θ = 41.7°, intensity 84, (0 4 0)
2θ = 58.6°, intensity 54, (2 0 4)
2θ = 59.0°, intensity 53, (2 4 0)
2θ = 60.0°, intensity 48, (0 4 4)


Record 9
Starting from a crystal structure in the Materials Project, relaxed with GGA-PBE, the XRD peak list of CsSO3 was computed for Cu Kα.

Crystal structure
```
data_CsSO3
_chemical_formula_sum 'Cs4 S4 O12'
_cell_length_a 6.4284
_cell_length_b 6.4284
_cell_length_c 12.1720
_cell_angle_alpha 90.00
_cell_angle_beta 90.00
_cell_angle_gamma 120.00
_symmetry_space_group_name_H-M 'P 63 m c'
_symmetry_Int_Tables_number 186
_symmetry_space_group_name_Hall 'P 6c -2c'
loop_
_atom_site_label
_atom_site_type_symbol
_atom_site_fract_x
_atom_site_fract_y
_atom_site_fract_z
Cs1 Cs 0.0000 0.0000 0.0000
Cs2 Cs 0.3333 0.6667 0.2397
S1 S 0.3333 0.6667 0.7156
S2 S 0.3333 0.6667 0.8966
O1 O 0.0775 0.5388 0.9279
O2 O 0.2051 0.4101 0.6865
```

The 8 most intense peaks (10 to 90 degrees two-theta), sorted by position:
2θ = 21.6°, intensity 100, (1 0 2)
2θ = 27.2°, intensity 22, (1 0 3)
2θ = 27.8°, intensity 67, (1 1 0)
2θ = 29.4°, intensity 17, (0 0 4)
2θ = 35.5°, intensity 44, (2 0 2)
2θ = 40.8°, intensity 32, (1 1 4)
2θ = 45.6°, intensity 23, (2 1 2)
2θ = 47.7°, intensity 15, (1 0 6)